For CsSrTe2Au, a DFT-relaxed cell (PBE, Alexandria) gives the computed XRD peak list in this record (Cu Ka).

Most intense lines, 15 to 90 degrees two-theta, in order of rising 2θ:
(2 0 0), d 4.266, 20.82°, I = 74; (1 3 1), d 3.771, 23.59°, I = 100; (2 0 1), d 3.463, 25.73°, I = 28; (2 2 1), d 3.229, 27.62°, I = 45; (1 5 1), d 2.882, 31.03°, I = 30; (0 2 2), d 2.814, 31.80°, I = 33; (2 4 1), d 2.738, 32.71°, I = 43; (0 4 2), d 2.471, 36.36°, I = 24; (3 3 1), d 2.356, 38.21°, I = 28; (4 8 0), d 1.543, 59.97°, I = 24

Cell and atoms:
Cell lengths 8.5324, 17.8809, 5.9290 Å; angles 90.00, 90.00, 90.00 degrees
Space group Cmme (No. 67)
Symmetry-distinct sites (fractional):
Cs 0.0000 0.2500 0.2339 [4 per cell]
Sr 0.2500 0.0000 0.5000 [4 per cell]
Te 0.0000 0.1171 0.7332 [8 per cell]
Au 0.0000 0.0000 0.0000 [4 per cell]